No. 1
Computed powder X-ray diffraction pattern
Compound: Tb2Si3
Radiation: Cu Kα (weighted mean of Kα1 and Kα2)
Structure: DFT lattice parameters and positions (PBE)
No peak broadening, texture or thermal motion is included.

Crystal structure
Lattice parameters (Å, degrees): 4.238 24.070 4.284 90.00 90.00 90.00
Space group Cmcm (No. 63)
Asymmetric unit:
Tb 0.000 0.118 0.250 [4 per cell]
Tb 0.000 0.246 0.750 [4 per cell]
Si 0.000 0.021 0.750 [4 per cell]
Si 0.000 0.336 0.250 [4 per cell]
Si 0.000 0.432 0.250 [4 per cell]

Peak list (12 most intense, 5 to 70 degrees two-theta, sorted by position)
(0 2 0), 2θ = 7.35°, rel. 84.2
(1 1 0), 2θ = 21.29°, rel. 17.1
(0 6 0), 2θ = 22.16°, rel. 20.2
(0 8 0), 2θ = 29.69°, rel. 25.3
(0 6 1), 2θ = 30.53°, rel. 26.4
(1 3 1), 2θ = 31.73°, rel. 100.0
(1 5 1), 2θ = 35.14°, rel. 57.2
(1 9 0), 2θ = 39.86°, rel. 17.0
(0 0 2), 2θ = 42.19°, rel. 20.3
(2 0 0), 2θ = 42.67°, rel. 19.7
(0 14 0), 2θ = 53.35°, rel. 14.4
(2 0 2), 2θ = 61.58°, rel. 15.9



No. 2
Computed powder X-ray diffraction pattern
Compound: Mg2Ag
Radiation: Cu Kα (weighted mean of Kα1 and Kα2)
Structure: DFT lattice parameters and positions (PBE)
No peak broadening, texture or thermal motion is included.

Crystal structure
Lattice parameters (Å, degrees): 10.650 3.239 7.349 90.00 108.98 90.00
Space group C2/m (No. 12)
Asymmetric unit:
Mg 0.143 0.000 0.045 [4 per cell]
Mg 0.164 0.000 0.607 [4 per cell]
Ag 0.027 0.500 0.281 [4 per cell]

Peak list (12 most intense, 5 to 70 degrees two-theta, sorted by position)
(2 0 0), 2θ = 17.61°, rel. 98.6
(0 0 2), 2θ = 25.64°, rel. 30.6
(2 0 -2), 2θ = 25.99°, rel. 35.8
(1 1 0), 2θ = 28.96°, rel. 50.9
(2 0 2), 2θ = 35.86°, rel. 35.1
(4 0 -2), 2θ = 36.64°, rel. 50.3
(1 1 -2), 2θ = 37.00°, rel. 100.0
(3 1 0), 2θ = 38.63°, rel. 75.7
(1 1 2), 2θ = 41.02°, rel. 18.8
(3 1 -2), 2θ = 41.49°, rel. 24.8
(2 0 -4), 2θ = 49.63°, rel. 16.9
(5 1 -4), 2θ = 65.11°, rel. 17.2



No. 3
Computed powder X-ray diffraction pattern
Compound: Al2Cu
Radiation: Cu Kα (weighted mean of Kα1 and Kα2)
Structure: DFT lattice parameters and positions (PBE)
No peak broadening, texture or thermal motion is included.

Crystal structure
Lattice parameters (Å, degrees): 5.769 5.769 5.769 90.00 90.00 90.00
Space group Fm-3m (No. 225)
Asymmetric unit:
Al 0.250 0.250 0.250 [8 per cell]
Cu 0.000 0.000 0.000 [4 per cell]

Peak list (5 most intense, 5 to 70 degrees two-theta, sorted by position)
(1 1 1), 2θ = 26.77°, rel. 85.8
(2 0 0), 2θ = 31.00°, rel. 2.1
(2 2 0), 2θ = 44.41°, rel. 100.0
(3 1 1), 2θ = 52.62°, rel. 37.1
(4 0 0), 2θ = 64.62°, rel. 15.5